No. 1
# La3MnWS3O6
Calculated X-ray powder pattern, Cu Ka. Input: a GGA+U-relaxed structure.
Neutral-atom scattering factors, no anomalous dispersion.

Main lines, sorted by position (10° ≤ 2θ ≤ 90°):
- 2θ = 24.48°, rel. 54.4, (1 1 1)
- 2θ = 26.80°, rel. 54.3, (2 0 1)
- 2θ = 28.62°, rel. 29.1, (2 1 0)
- 2θ = 31.82°, rel. 24.0, (0 0 2)
- 2θ = 32.55°, rel. 25.3, (3 0 0)
- 2θ = 32.83°, rel. 100.0, (1 2 1)
- 2θ = 43.32°, rel. 38.4, (1 2 2)
- 2θ = 50.69°, rel. 20.7, (1 4 0)
- 2θ = 50.89°, rel. 30.0, (3 2 1)
- 2θ = 57.33°, rel. 20.9, (1 2 3)

Crystal structure
```
data_La3MnWS3O6
_chemical_formula_sum 'La6 Mn2 W2 S6 O12'
_cell_length_a 9.5291
_cell_length_b 9.5291
_cell_length_c 5.6253
_cell_angle_alpha 90.00
_cell_angle_beta 90.00
_cell_angle_gamma 120.00
_symmetry_space_group_name_H-M 'P 63/m'
_symmetry_Int_Tables_number 176
_symmetry_space_group_name_Hall '-P 6c'
loop_
_atom_site_label
_atom_site_type_symbol
_atom_site_fract_x
_atom_site_fract_y
_atom_site_fract_z
La1 La 0.0868 0.6795 0.2500
Mn1 Mn 0.0000 0.0000 0.0000
W1 W 0.3333 0.6667 0.7500
S1 S 0.0449 0.8140 0.7500
O1 O 0.1605 0.5283 0.5252
```

No. 2
# SrLaMnSbO6
Calculated X-ray powder pattern, Cu Ka. Input: a GGA+U-relaxed structure.
Neutral-atom scattering factors, no anomalous dispersion.

Main lines, sorted by position (10° ≤ 2θ ≤ 90°):
- 2θ = 18.92°, rel. 9.8, (1 0 -2)
- 2θ = 30.55°, rel. 22.9, (0 2 0)
- 2θ = 30.95°, rel. 100.0, (1 1 1)
- 2θ = 31.20°, rel. 24.1, (2 0 -2)
- 2θ = 44.23°, rel. 25.2, (2 2 -2)
- 2θ = 44.43°, rel. 14.5, (0 0 4)
- 2θ = 54.55°, rel. 14.6, (1 3 1)
- 2θ = 54.88°, rel. 10.3, (0 2 4)
- 2θ = 55.34°, rel. 34.1, (2 0 -6)
- 2θ = 64.49°, rel. 13.6, (2 2 2)

Crystal structure
```
data_SrLaMnSbO6
_chemical_formula_sum 'Sr2 La2 Mn2 Sb2 O12'
_cell_length_a 5.7328
_cell_length_b 5.8522
_cell_length_c 9.9675
_cell_angle_alpha 90.00
_cell_angle_beta 125.09
_cell_angle_gamma 90.00
_symmetry_space_group_name_H-M 'P 1 c 1'
_symmetry_Int_Tables_number 7
loop_
_symmetry_equiv_pos_as_xyz
'x,y,z'
'x,-y,z+1/2'
loop_
_atom_site_label
_atom_site_type_symbol
_atom_site_fract_x
_atom_site_fract_y
_atom_site_fract_z
Sr1 Sr 0.0000 0.2123 0.0000
La1 La 0.4769 0.2998 0.4983
Mn1 Mn 0.2408 0.2450 0.7502
Sb1 Sb 0.7420 0.2476 0.2507
O1 O 0.0761 0.0568 0.2987
O2 O 0.4254 0.4536 0.2102
O3 O 0.5054 0.0378 0.7001
O4 O 0.5809 0.2834 0.0113
O5 O 0.8824 0.2244 0.4891
O6 O 0.9954 0.4783 0.7997
```

No. 3
# LaSc4Mn3O12
Calculated X-ray powder pattern, Cu Ka. Input: a GGA+U-relaxed structure.
Neutral-atom scattering factors, no anomalous dispersion.

Main lines, sorted by position (10° ≤ 2θ ≤ 90°):
- 2θ = 16.09°, rel. 16.5, (1 1 0)
- 2θ = 22.84°, rel. 7.9, (2 0 0)
- 2θ = 32.52°, rel. 100.0, (2 2 0)
- 2θ = 36.48°, rel. 16.0, (3 0 1)
- 2θ = 40.11°, rel. 7.8, (2 2 2)
- 2θ = 43.48°, rel. 14.9, (3 1 2)
- 2θ = 46.65°, rel. 25.2, (4 0 0)
- 2θ = 58.01°, rel. 51.9, (4 2 2)
- 2θ = 68.10°, rel. 11.8, (4 4 0)
- 2θ = 77.51°, rel. 16.8, (6 2 0)

Crystal structure
```
data_LaSc4Mn3O12
_chemical_formula_sum 'La2 Sc8 Mn6 O24'
_cell_length_a 7.7885
_cell_length_b 7.7885
_cell_length_c 7.7885
_cell_angle_alpha 90.00
_cell_angle_beta 90.00
_cell_angle_gamma 90.00
_symmetry_space_group_name_H-M 'I m -3'
_symmetry_Int_Tables_number 204
_symmetry_space_group_name_Hall '-I 2 2 3'
loop_
_atom_site_label
_atom_site_type_symbol
_atom_site_fract_x
_atom_site_fract_y
_atom_site_fract_z
La1 La 0.0000 0.0000 0.0000
Sc1 Sc 0.2500 0.2500 0.2500
Mn1 Mn 0.0000 0.0000 0.5000
O1 O 0.0000 0.3116 0.1661
```

No. 4
# La2MnSe2O2
Calculated X-ray powder pattern, Cu Ka. Input: a GGA+U-relaxed structure.
Neutral-atom scattering factors, no anomalous dispersion.

Main lines, sorted by position (10° ≤ 2θ ≤ 90°):
- 2θ = 27.94°, rel. 21.4, (1 3 1)
- 2θ = 29.29°, rel. 11.2, (1 3 -2)
- 2θ = 30.08°, rel. 47.7, (0 0 6)
- 2θ = 31.41°, rel. 100.0, (1 3 -3)
- 2θ = 32.51°, rel. 18.7, (0 6 0)
- 2θ = 34.07°, rel. 10.2, (0 6 2)
- 2θ = 44.87°, rel. 13.0, (0 6 6)
- 2θ = 45.13°, rel. 23.6, (2 0 0)
- 2θ = 54.25°, rel. 23.7, (1 3 -9)
- 2θ = 55.21°, rel. 20.5, (2 0 6)

Crystal structure
```
data_La2MnSe2O2
_chemical_formula_sum 'La16 Mn8 Se16 O16'
_cell_length_a 4.0168
_cell_length_b 16.5238
_cell_length_c 17.8272
_cell_angle_alpha 90.00
_cell_angle_beta 90.03
_cell_angle_gamma 90.00
_symmetry_space_group_name_H-M 'P 1 c 1'
_symmetry_Int_Tables_number 7
loop_
_symmetry_equiv_pos_as_xyz
'x,y,z'
'x,-y,z+1/2'
loop_
_atom_site_label
_atom_site_type_symbol
_atom_site_fract_x
_atom_site_fract_y
_atom_site_fract_z
La1 La 0.0000 0.0721 0.0000
La2 La 0.9997 0.0794 0.6722
La3 La 0.0000 0.2326 0.1740
La4 La 0.4986 0.4211 0.4975
La5 La 0.4990 0.4274 0.1698
La6 La 0.5000 0.2669 0.9954
La7 La 0.4997 0.2739 0.6738
La8 La 0.9988 0.2265 0.4959
Mn1 Mn 0.4969 0.1382 0.8361
Mn2 Mn 0.5044 0.0850 0.3051
Mn3 Mn 0.9974 0.3613 0.3337
Mn4 Mn 0.9975 0.4143 0.8632
Se1 Se 0.0002 0.4199 0.0077
Se2 Se 0.0040 0.0052 0.8363
Se3 Se 0.4957 0.2359 0.3332
Se4 Se 0.4973 0.4941 0.3338
Se5 Se 0.4996 0.0771 0.5239
Se6 Se 0.5017 0.0798 0.1611
Se7 Se 0.9984 0.2630 0.8373
Se8 Se 0.9993 0.4236 0.6465
O1 O 0.0000 0.2073 0.0417
O2 O 0.4989 0.2875 0.5391
O3 O 0.5002 0.1276 0.9506
O4 O 0.4998 0.1343 0.7221
O5 O 0.4996 0.2924 0.1280
O6 O 0.9984 0.3660 0.4475
O7 O 0.9994 0.2132 0.6308
O8 O 0.9987 0.3718 0.2193
```

No. 5
# La2MnSe2O2
Calculated X-ray powder pattern, Cu Ka. Input: a GGA+U-relaxed structure.
Neutral-atom scattering factors, no anomalous dispersion.

Main lines, sorted by position (10° ≤ 2θ ≤ 90°):
- 2θ = 26.29°, rel. 10.6, (0 4 3)
- 2θ = 27.94°, rel. 21.4, (1 3 1)
- 2θ = 29.28°, rel. 11.5, (1 3 -2)
- 2θ = 30.06°, rel. 47.7, (0 0 6)
- 2θ = 31.40°, rel. 100.0, (1 3 -3)
- 2θ = 32.55°, rel. 18.4, (0 6 0)
- 2θ = 44.89°, rel. 12.6, (0 6 6)
- 2θ = 45.11°, rel. 23.5, (2 0 0)
- 2θ = 54.23°, rel. 24.1, (1 3 -9)
- 2θ = 55.17°, rel. 16.9, (2 0 6)

Crystal structure
```
data_La2MnSe2O2
_chemical_formula_sum 'La16 Mn8 Se16 O16'
_cell_length_a 4.0192
_cell_length_b 16.5062
_cell_length_c 17.8363
_cell_angle_alpha 90.00
_cell_angle_beta 90.05
_cell_angle_gamma 90.00
_symmetry_space_group_name_H-M 'C 1 c 1'
_symmetry_Int_Tables_number 9
loop_
_symmetry_equiv_pos_as_xyz
'x,y,z'
'x,-y,z+1/2'
'x+1/2,y+1/2,z'
'x+1/2,-y+1/2,z+1/2'
loop_
_atom_site_label
_atom_site_type_symbol
_atom_site_fract_x
_atom_site_fract_y
_atom_site_fract_z
La1 La 0.0000 0.0752 0.0000
La2 La 0.9997 0.0762 0.3274
La3 La 0.9996 0.2265 0.8245
La4 La 0.0005 0.2323 0.5026
Mn1 Mn 0.0036 0.4147 0.1355
Mn2 Mn 0.4972 0.1391 0.1643
Se1 Se 0.9998 0.4245 0.3523
Se2 Se 0.0013 0.4192 0.9909
Se3 Se 0.0032 0.0051 0.1653
Se4 Se 0.4957 0.2358 0.6658
O1 O 0.0001 0.2096 0.9584
O2 O 0.9999 0.2106 0.3693
O3 O 0.9999 0.3692 0.5506
O4 O 0.9996 0.3686 0.7786
```

No. 6
# La4SmMn5O15
Calculated X-ray powder pattern, Cu Ka. Input: a GGA+U-relaxed structure.
Neutral-atom scattering factors, no anomalous dispersion.

Main lines, sorted by position (10° ≤ 2θ ≤ 90°):
- 2θ = 22.61°, rel. 15.4, (1 5 0)
- 2θ = 32.19°, rel. 49.9, (2 0 0)
- 2θ = 32.31°, rel. 100.0, (1 5 1)
- 2θ = 39.80°, rel. 30.1, (2 0 1)
- 2θ = 46.17°, rel. 32.4, (2 10 0)
- 2θ = 46.51°, rel. 16.3, (0 0 2)
- 2θ = 57.41°, rel. 19.3, (3 5 1)
- 2θ = 57.53°, rel. 17.8, (1 15 1)
- 2θ = 57.69°, rel. 18.8, (2 0 2)
- 2θ = 67.62°, rel. 18.7, (2 10 2)

Crystal structure
```
data_La4SmMn5O15
_chemical_formula_sum 'La8 Sm2 Mn10 O30'
_cell_length_a 5.5688
_cell_length_b 27.7681
_cell_length_c 3.9049
_cell_angle_alpha 90.00
_cell_angle_beta 90.00
_cell_angle_gamma 90.00
_symmetry_space_group_name_H-M 'C m m m'
_symmetry_Int_Tables_number 65
_symmetry_space_group_name_Hall '-C 2 2'
loop_
_atom_site_label
_atom_site_type_symbol
_atom_site_fract_x
_atom_site_fract_y
_atom_site_fract_z
La1 La 0.0000 0.0944 0.0000
La2 La 0.0000 0.2990 0.0000
Sm1 Sm 0.0000 0.5000 0.0000
Mn1 Mn 0.0000 0.0000 0.5000
Mn2 Mn 0.0000 0.1992 0.5000
Mn3 Mn 0.0000 0.4008 0.5000
O1 O 0.0000 0.0000 0.0000
O2 O 0.0000 0.2021 0.0000
O3 O 0.0000 0.4043 0.0000
O4 O 0.2475 0.0478 0.5000
O5 O 0.2494 0.3502 0.5000
O6 O 0.2500 0.2500 0.5000
```